# 1
# RbSnAs2O8
Simulated PXRD pattern, Cu Kα, 1.54184 Å. Input: a structure optimized by DFT (GGA-PBE).

a = 9.626 Å, b = 9.626 Å, c = 9.626 Å
α = 31.01°, β = 31.01°, γ = 31.01°
Fractional positions:
Rb 0.000 0.000 0.000
Sn 0.500 0.500 0.500
As 0.235 0.235 0.235
As 0.765 0.765 0.765
O 0.121 0.489 0.746
O 0.254 0.511 0.879
O 0.297 0.297 0.297
O 0.489 0.746 0.121
O 0.511 0.879 0.254
O 0.703 0.703 0.703
O 0.746 0.121 0.489
O 0.879 0.254 0.511

Top 10 peaks for 2θ = 5–70°, most intense first:
2θ = 23.8°, d = 3.738 Å, intensity 100; 2θ = 34.9°, d = 2.573 Å, intensity 33; 2θ = 32.9°, d = 2.720 Å, intensity 25; 2θ = 9.7°, d = 9.156 Å, intensity 24; 2θ = 56.2°, d = 1.636 Å, intensity 17; 2θ = 42.7°, d = 2.120 Å, intensity 17; 2θ = 53.6°, d = 1.710 Å, intensity 13; 2θ = 48.7°, d = 1.869 Å, intensity 11; 2θ = 62.5°, d = 1.486 Å, intensity 10; 2θ = 61.3°, d = 1.512 Å, intensity 9



# 2
# RbTa2AsO8
Simulated PXRD pattern, Cu Kα, 1.54184 Å. Input: a structure optimized by DFT (GGA-PBE).

a = 5.427 Å, b = 5.427 Å, c = 9.150 Å
α = 104.78°, β = 104.78°, γ = 61.95°
Fractional positions:
Rb 0.000 0.000 0.000
Ta 0.198 0.198 0.672
Ta 0.802 0.802 0.328
As 0.500 0.500 0.500
O 0.202 0.663 0.351
O 0.308 0.308 0.868
O 0.315 0.315 0.535
O 0.337 0.798 0.649
O 0.663 0.202 0.351
O 0.685 0.685 0.465
O 0.692 0.692 0.132
O 0.798 0.337 0.649

Top 10 peaks for 2θ = 5–70°, most intense first:
2θ = 22.8°, d = 3.908 Å, intensity 100; 2θ = 10.1°, d = 8.735 Å, intensity 71; 2θ = 23.9°, d = 3.716 Å, intensity 62; 2θ = 33.1°, d = 2.710 Å, intensity 47; 2θ = 32.0°, d = 2.793 Å, intensity 29; 2θ = 19.9°, d = 4.465 Å, intensity 28; 2θ = 30.0°, d = 2.982 Å, intensity 26; 2θ = 40.4°, d = 2.233 Å, intensity 24; 2θ = 25.0°, d = 3.555 Å, intensity 22; 2θ = 51.9°, d = 1.763 Å, intensity 20



# 3
# Rb4U3As2O16
Simulated PXRD pattern, Cu Kα, 1.54184 Å. Input: a structure optimized by DFT (GGA-PBE).

a = 7.175 Å, b = 17.666 Å, c = 7.178 Å
α = 90.00°, β = 91.08°, γ = 90.00°
Fractional positions:
Rb 0.000 0.000 0.000
Rb 0.000 0.500 0.000
Rb 0.056 0.250 0.959
Rb 0.103 0.117 0.470
Rb 0.103 0.383 0.470
Rb 0.897 0.617 0.530
Rb 0.897 0.883 0.530
Rb 0.944 0.750 0.041
U 0.423 0.750 0.718
U 0.424 0.644 0.218
U 0.424 0.856 0.218
U 0.576 0.144 0.782
U 0.576 0.356 0.782
U 0.577 0.250 0.282
As 0.401 0.555 0.714
As 0.401 0.945 0.714
As 0.599 0.055 0.286
As 0.599 0.445 0.286
O 0.165 0.637 0.234
O 0.165 0.863 0.234
O 0.166 0.750 0.698
O 0.188 0.519 0.666
O 0.188 0.981 0.666
O 0.319 0.146 0.803
O 0.319 0.250 0.263
O 0.319 0.354 0.803
O 0.387 0.620 0.896
O 0.387 0.880 0.896
O 0.404 0.750 0.038
O 0.424 0.750 0.402
O 0.425 0.510 0.240
O 0.425 0.990 0.240
O 0.475 0.621 0.552
O 0.475 0.879 0.552
O 0.525 0.121 0.448
O 0.525 0.379 0.448
O 0.575 0.010 0.760
O 0.575 0.490 0.760
O 0.576 0.250 0.598
O 0.596 0.250 0.962
O 0.613 0.120 0.104
O 0.613 0.380 0.104
O 0.681 0.646 0.197
O 0.681 0.750 0.737
O 0.681 0.854 0.197
O 0.812 0.019 0.334
O 0.812 0.481 0.334
O 0.834 0.250 0.302
O 0.835 0.137 0.766
O 0.835 0.363 0.766

Top 10 peaks for 2θ = 5–70°, most intense first:
2θ = 12.3°, d = 7.174 Å, intensity 100; 2θ = 25.3°, d = 3.515 Å, intensity 83; 2θ = 28.2°, d = 3.170 Å, intensity 76; 2θ = 26.9°, d = 3.318 Å, intensity 68; 2θ = 30.7°, d = 2.908 Å, intensity 64; 2θ = 27.6°, d = 3.234 Å, intensity 60; 2θ = 24.8°, d = 3.587 Å, intensity 50; 2θ = 28.0°, d = 3.185 Å, intensity 42; 2θ = 13.3°, d = 6.647 Å, intensity 39; 2θ = 50.7°, d = 1.802 Å, intensity 28